Entry 1:
Starting from the PBE+U geometry in Alexandria, the powder diffractogram of MnB2F2 was computed for Cu Kα (weighted mean of Kα1 and Kα2).

Peak list (10 most intense, 5° ≤ 2θ ≤ 70°, in order of rising 2θ)
- 9.40 deg, intensity 100, (0 0 2)
- 18.87 deg, intensity 30, (0 0 4)
- 36.74 deg, intensity 6, (1 0 3)
- 41.62 deg, intensity 13, (1 0 5)
- 48.16 deg, intensity 13, (1 0 7)
- 48.46 deg, intensity 5, (1 1 0)
- 49.48 deg, intensity 13, (1 1 2)
- 52.46 deg, intensity 2, (1 1 4)
- 55.97 deg, intensity 8, (1 0 9)
- 64.83 deg, intensity 3, (1 0 11)

Atomic structure:
Cell lengths 2.6563, 2.6563, 18.8151 Å; angles 90.00, 90.00, 90.00 degrees
Space group I4/mmm (No. 139)
Asymmetric unit:
Mn1 0.0000 0.0000 0.0000
B1 0.0000 0.5000 0.2500
F1 0.0000 0.0000 0.4366

---

Entry 2:
Starting from the PBE+U geometry in Alexandria, the powder diffractogram of Mn2BF8 was computed for Cu Kα (weighted mean of Kα1 and Kα2).

Peak list (10 most intense, 5° ≤ 2θ ≤ 70°, in order of rising 2θ)
- 12.44 deg, intensity 100, (0 0 1)
- 17.39 deg, intensity 47, (0 1 0)
- 23.04 deg, intensity 38, (1 0 0)
- 23.33 deg, intensity 37, (1 1 1)
- 28.21 deg, intensity 25, (1 0 -1)
- 28.92 deg, intensity 25, (1 1 2)
- 33.20 deg, intensity 23, (0 1 -2)
- 39.58 deg, intensity 28, (0 2 2)
- 42.76 deg, intensity 34, (2 1 1)
- 44.97 deg, intensity 33, (0 1 -3)

Atomic structure:
Cell lengths 4.2312, 5.5905, 7.4902 Å; angles 75.02, 75.04, 68.08 degrees
Space group P1 (No. 1)
Asymmetric unit:
Mn1 0.0000 0.0000 0.0000
Mn2 0.2265 0.3955 0.1751
B1 0.8821 0.1828 0.5811
F1 0.0060 0.7776 0.2366
F2 0.1948 0.1451 0.4400
F3 0.2085 0.6850 0.9147
F4 0.4507 0.0725 0.0266
F5 0.6380 0.4137 0.5196
F6 0.7841 0.9655 0.6359
F7 0.7898 0.3122 0.1191
F8 0.9890 0.2204 0.7492